1.
This entry pairs a crystal structure of K3SmB2O6 with its computed powder X-ray diffraction pattern. Radiation: a wavelength of 1.5418 Å. Structure: DFT lattice parameters and positions (PBE).
Neutral-atom scattering factors, no anomalous dispersion.

Peak list (6 most intense, 10 to 80 degrees two-theta, in order of rising 2θ)
two_theta	I_rel	index
14.8	100	0 1 1
21.4	34	2 0 1
23.5	43	2 1 0
25.1	36	0 2 0
31.5	75	1 2 2
34.1	35	3 0 2

Cell and atoms:
```
data_K3SmB2O6
_cell_length_a 8.9696
_cell_length_b 7.1071
_cell_length_c 11.0840
_cell_angle_alpha 90.00
_cell_angle_beta 90.00
_cell_angle_gamma 90.00
_symmetry_space_group_name_H-M 'P n m a'
_symmetry_Int_Tables_number 62
loop_
_symmetry_equiv_pos_as_xyz
'x,y,z'
'-x,-y,-z'
'-x+1/2,-y,z+1/2'
'x+1/2,y,-z+1/2'
'x+1/2,-y+1/2,-z+1/2'
'-x+1/2,y+1/2,z+1/2'
'-x,y+1/2,-z'
'x,-y+1/2,z'
loop_
_atom_site_label
_atom_site_type_symbol
_atom_site_fract_x
_atom_site_fract_y
_atom_site_fract_z
K1 K 0.0621 0.2500 0.1334
K2 K 0.1980 0.0050 0.4022
Sm1 Sm 0.1274 0.2500 0.6697
B1 B 0.0604 0.7500 0.1234
B2 B 0.0909 0.7500 0.6177
O1 O 0.0100 0.7500 0.5104
O2 O 0.0920 0.2500 0.8883
O3 O 0.1193 0.7500 0.2415
O4 O 0.1304 0.5806 0.6723
O5 O 0.1605 0.7500 0.0297
```

=====

2.
This entry pairs a crystal structure of Cs2Tm2AsP with its computed powder X-ray diffraction pattern. Radiation: a wavelength of 1.5418 Å. Structure: DFT lattice parameters and positions (PBE).
Neutral-atom scattering factors, no anomalous dispersion.

Peak list (6 most intense, 10 to 80 degrees two-theta, in order of rising 2θ)
two_theta	I_rel	index
22.7	47	0 0 3
23.9	57	1 0 2
27.3	60	1 1 1
30.3	100	1 1 2
37.3	50	2 0 0
47.0	45	1 1 5

Cell and atoms:
```
data_Cs2Tm2AsP
_cell_length_a 4.8186
_cell_length_b 4.8186
_cell_length_c 11.7534
_cell_angle_alpha 90.00
_cell_angle_beta 90.00
_cell_angle_gamma 90.00
_symmetry_space_group_name_H-M 'P 4 m m'
_symmetry_Int_Tables_number 99
loop_
_symmetry_equiv_pos_as_xyz
'x,y,z'
'-y,x,z'
'-x,-y,z'
'y,-x,z'
'-x,y,z'
'y,x,z'
'x,-y,z'
'-y,-x,z'
loop_
_atom_site_label
_atom_site_type_symbol
_atom_site_fract_x
_atom_site_fract_y
_atom_site_fract_z
Cs1 Cs 0.0000 0.0000 0.0000
Cs2 Cs 0.5000 0.5000 0.3743
Tm1 Tm 0.0000 0.5000 0.6863
As1 As 0.5000 0.5000 0.8157
P1 P 0.0000 0.0000 0.5787
```

=====

3.
This entry pairs a crystal structure of NaReTeAuSe2 with its computed powder X-ray diffraction pattern. Radiation: a wavelength of 1.5418 Å. Structure: DFT lattice parameters and positions (PBE).
Neutral-atom scattering factors, no anomalous dispersion.

Peak list (6 most intense, 10 to 80 degrees two-theta, in order of rising 2θ)
two_theta	I_rel	index
11.4	100	0 2 0
29.9	81	1 3 0
31.1	39	1 3 1
33.9	50	0 0 4
35.8	42	0 6 1
45.8	49	1 3 4

Cell and atoms:
```
data_NaReTeAuSe2
_cell_length_a 3.6627
_cell_length_b 15.4733
_cell_length_c 10.5851
_cell_angle_alpha 90.00
_cell_angle_beta 90.00
_cell_angle_gamma 90.00
_symmetry_space_group_name_H-M 'C m c m'
_symmetry_Int_Tables_number 63
_symmetry_space_group_name_Hall '-C 2c 2'
loop_
_atom_site_label
_atom_site_type_symbol
_atom_site_fract_x
_atom_site_fract_y
_atom_site_fract_z
Na1 Na 0.0000 0.2202 0.2500
Re1 Re 0.0000 0.5000 0.0000
Te1 Te 0.0000 0.4489 0.7500
Au1 Au 0.0000 0.1299 0.7500
Se1 Se 0.0000 0.1169 0.5182
```

=====

4.
This entry pairs a crystal structure of NbSeCl3 with its computed powder X-ray diffraction pattern. Radiation: a wavelength of 1.5418 Å. Structure: DFT lattice parameters and positions (PBE).
Neutral-atom scattering factors, no anomalous dispersion.

Peak list (6 most intense, 10 to 80 degrees two-theta, in order of rising 2θ)
two_theta	I_rel	index
14.1	100	1 0 0
15.0	94	0 1 1
21.4	23	1 1 1
35.2	23	1 0 4
36.2	38	1 2 -3
40.6	33	2 2 1

Cell and atoms:
```
data_NbSeCl3
_cell_length_a 6.3702
_cell_length_b 6.8223
_cell_length_c 12.0680
_cell_angle_alpha 90.00
_cell_angle_beta 98.85
_cell_angle_gamma 90.00
_symmetry_space_group_name_H-M 'P 1 2/c 1'
_symmetry_Int_Tables_number 13
loop_
_symmetry_equiv_pos_as_xyz
'x,y,z'
'-x,-y,-z'
'-x,y,-z+1/2'
'x,-y,z+1/2'
loop_
_atom_site_label
_atom_site_type_symbol
_atom_site_fract_x
_atom_site_fract_y
_atom_site_fract_z
Nb1 Nb 0.0731 0.1431 0.1461
Se1 Se 0.1708 0.4229 0.3018
Cl1 Cl 0.1551 0.1757 0.5427
Cl2 Cl 0.2468 0.0518 0.8032
Cl3 Cl 0.3573 0.2902 0.0696
```